Record 1
For Sr2TlPbO4, a cell relaxed with GGA-PBE gives the theoretical PXRD pattern in this record (Cu Kα X-rays).

Crystal structure
```
data_Sr2TlPbO4
_chemical_formula_sum 'Sr4 Tl2 Pb2 O8'
_space_group_name_H-M_alt 'P 1'
_space_group_IT_number 1
_space_group_name_Hall 'P 1'
_cell_length_a 7.3894
_cell_length_b 7.3894
_cell_length_c 7.3894
_cell_angle_alpha 120.59
_cell_angle_beta 119.79
_cell_angle_gamma 89.67
loop_
_atom_site_label
_atom_site_type_symbol
_atom_site_fract_x
_atom_site_fract_y
_atom_site_fract_z
Sr1 Sr 0.0000 0.0000 0.0000
Sr2 Sr 0.5000 0.0000 0.0000
Sr3 Sr 0.5000 0.0000 0.5000
Sr4 Sr 0.5000 0.5000 0.5000
Tl1 Tl 0.0000 0.5000 0.5000
Tl2 Tl 0.5000 0.5000 0.0000
Pb1 Pb 0.0000 0.0000 0.5000
Pb2 Pb 0.0000 0.5000 0.0000
O1 O 0.2512 0.2421 0.0091
O2 O 0.2535 0.2460 0.4924
O3 O 0.2535 0.7611 0.0076
O4 O 0.2670 0.7579 0.5091
O5 O 0.7330 0.2421 0.4909
O6 O 0.7465 0.2389 0.9924
O7 O 0.7465 0.7540 0.5076
O8 O 0.7488 0.7579 0.9909
```

Peak list (8 most intense, 2θ = 10–80°, by intensity)
Position (°2θ), I (rel.)
34.4, 100
29.5, 93
29.8, 91
49.3, 71
34.2, 51
58.5, 44
59.0, 29
14.6, 22


Record 2
For Mn2V7Fe3, a cell relaxed with GGA-PBE gives the theoretical PXRD pattern in this record (Cu Kα X-rays).

Crystal structure
```
data_Mn2V7Fe3
_chemical_formula_sum 'Mn2 V7 Fe3'
_space_group_name_H-M_alt 'P 1'
_space_group_IT_number 1
_space_group_name_Hall 'P 1'
_cell_length_a 13.1069
_cell_length_b 13.1069
_cell_length_c 2.8386
_cell_angle_alpha 90.00
_cell_angle_beta 90.00
_cell_angle_gamma 161.76
loop_
_atom_site_label
_atom_site_type_symbol
_atom_site_fract_x
_atom_site_fract_y
_atom_site_fract_z
Mn1 Mn 0.1658 0.8342 0.0000
Mn2 Mn 0.8342 0.1658 0.0000
V1 V 0.0000 0.0000 0.0000
V2 V 0.0818 0.9182 0.5000
V3 V 0.2735 0.7265 0.0000
V4 V 0.4207 0.5793 0.0000
V5 V 0.5793 0.4207 0.0000
V6 V 0.7265 0.2735 0.0000
V7 V 0.9182 0.0818 0.5000
Fe1 Fe 0.3458 0.6542 0.5000
Fe2 Fe 0.5000 0.5000 0.5000
Fe3 Fe 0.6542 0.3458 0.5000
```

Peak list (8 most intense, 2θ = 10–80°, by intensity)
Position (°2θ), I (rel.)
45.8, 100
43.6, 41
42.3, 33
41.9, 24
62.0, 14
65.8, 11
44.2, 7
49.3, 6